# 1
PmNd4Sm2Sc: computed PXRD pattern (λ = 1.5418 Å (Cu Kα)), based on DFT lattice parameters and positions (GGA-PBE).
Neutral-atom scattering factors, no anomalous dispersion.

Peak list (12 most intense, 10 to 90 degrees two-theta, most intense first)
hkl  2theta  I/Imax
1 1 2  30.31  100
2 0 4  50.60  24
0 2 0  35.01  17
2 0 0  35.13  17
0 0 4  35.29  16
1 3 2  59.91  14
3 1 2  60.07  14
1 1 6  60.28  14
2 2 4  63.06  12
2 2 0  50.44  12
3 3 2  82.13  6
1 3 6  82.31  6

Cell: 5.1088 5.1258 10.1730 Å, 90.00 90.00 90.00°
Space group Pmmm (No. 47)
Asymmetric unit:
Pm (0.0000, 0.0000, 0.0000) (multiplicity 1)
Nd (0.0000, 0.5000, 0.2568) (multiplicity 2)
Nd (0.5000, 0.0000, 0.2563) (multiplicity 2)
Sm (0.0000, 0.0000, 0.5000) (multiplicity 1)
Sm (0.5000, 0.5000, 0.0000) (multiplicity 1)
Sc (0.5000, 0.5000, 0.5000) (multiplicity 1)

---

# 2
Pm4Nd2SmSc: computed PXRD pattern (λ = 1.5418 Å (Cu Kα)), based on DFT lattice parameters and positions (GGA-PBE).
Neutral-atom scattering factors, no anomalous dispersion.

Peak list (12 most intense, 10 to 90 degrees two-theta, most intense first)
hkl  2theta  I/Imax
1 1 2  30.35  100
2 0 0  35.19  50
3 1 2  60.16  42
2 2 0  50.61  36
3 3 2  82.41  17
4 2 0  85.04  16
2 2 4  63.14  12
4 0 0  74.39  6
0 0 3  26.20  3
1 0 0  17.38  3
1 1 0  24.68  2
1 0 1  19.46  2

Cell: 5.1008 5.1008 10.2033 Å, 90.00 90.00 90.00°
Space group P4/mmm (No. 123)
Asymmetric unit:
Pm (0.0000, 0.5000, 0.2437) (multiplicity 4)
Nd (0.0000, 0.0000, 0.0000) (multiplicity 1)
Nd (0.5000, 0.5000, 0.5000) (multiplicity 1)
Sm (0.0000, 0.0000, 0.5000) (multiplicity 1)
Sc (0.5000, 0.5000, 0.0000) (multiplicity 1)